1.
# GeBi2O4
Calculated powder diffraction line list, λ = 1.5418 Å (Cu Kα). Input: the PBE geometry in Alexandria.

Largest 6 diffraction maxima, in order of rising 2θ, 2θ from 10° to 90°:
2θ/deg  d/Å  I (rel.)
20.92  4.246  65
21.75  4.086  65
30.36  2.944  99
32.41  2.763  72
32.96  2.717  100
54.89  1.673  59

Cell lengths 5.5913, 5.5913, 5.4690 Å; angles 115.63, 115.63, 98.81 degrees
Atoms (fractional coordinates):
Ge1 0.0000 0.0000 0.0000
Bi1 0.2267 0.7285 0.4589
Bi2 0.7285 0.2267 0.4589
O1 0.3177 0.8226 0.1429
O2 0.3452 0.3452 0.2794
O3 0.8226 0.3177 0.1429
O4 0.9255 0.9255 0.2702


2.
# Cs4ClF2
Calculated powder diffraction line list, λ = 1.5418 Å (Cu Kα). Input: the PBE geometry in Alexandria.

Largest 6 diffraction maxima, in order of rising 2θ, 2θ from 10° to 90°:
2θ/deg  d/Å  I (rel.)
22.05  4.031  30
22.18  4.009  100
27.30  3.267  49
35.37  2.538  35
38.77  2.323  24
45.28  2.003  47

Cell lengths 9.2914, 9.2914, 9.2914 Å; angles 138.83, 138.83, 59.64 degrees
Atoms (fractional coordinates):
Cs1 0.0000 0.5000 0.5000
Cs2 0.2353 0.2353 0.0000
Cs3 0.5000 0.0000 0.5000
Cs4 0.7647 0.7647 0.0000
Cl1 0.0000 0.0000 0.0000
F1 0.3954 0.3954 0.0000
F2 0.6046 0.6046 0.0000


3.
# Mg3TiAu12
Calculated powder diffraction line list, λ = 1.5418 Å (Cu Kα). Input: the PBE geometry in Alexandria.

Largest 6 diffraction maxima, in order of rising 2θ, 2θ from 10° to 90°:
2θ/deg  d/Å  I (rel.)
21.29  4.173  14
37.56  2.394  100
43.36  2.087  34
44.22  2.048  16
63.66  1.462  22
75.72  1.256  27

Cell lengths 4.1735, 4.1735, 16.3861 Å; angles 90.00, 90.00, 90.00 degrees
Atoms (fractional coordinates):
Mg1 0.0000 0.0000 0.0000
Mg2 0.0000 0.0000 0.2502
Mg3 0.0000 0.0000 0.7498
Ti1 0.0000 0.0000 0.5000
Au1 0.0000 0.5000 0.1257
Au2 0.0000 0.5000 0.3777
Au3 0.0000 0.5000 0.6223
Au4 0.0000 0.5000 0.8743
Au5 0.5000 0.0000 0.1257
Au6 0.5000 0.0000 0.3777
Au7 0.5000 0.0000 0.6223
Au8 0.5000 0.0000 0.8743
Au9 0.5000 0.5000 0.0000
Au10 0.5000 0.5000 0.2518
Au11 0.5000 0.5000 0.5000
Au12 0.5000 0.5000 0.7482